Structure and simulated X-ray diffraction stick pattern of Tl2CdIn3Hg3 (DFT lattice parameters and positions (PBE); Cu Kα X-rays).

Structural model:
Cell: 9.0729 9.0729 3.4821 Å, 90.00 90.00 120.00°
Space group P-62m (No. 189)
Symmetry-distinct sites (fractional):
Tl1 0.3333 0.6667 0.0000
Cd1 0.0000 0.0000 0.5000
In1 0.0000 0.7122 0.0000
Hg1 0.0000 0.3622 0.5000

Main lines, by angle (2θ from 10° to 90°):
- 30.09 deg, I = 16
- 32.41 deg, I = 100
- 34.24 deg, I = 97
- 34.42 deg, I = 32
- 39.90 deg, I = 21
- 47.86 deg, I = 26
- 57.58 deg, I = 22
- 60.15 deg, I = 24
- 61.30 deg, I = 12
- 64.24 deg, I = 31